Calculated powder X-ray diffraction pattern
Compound: HgSbAu2
Radiation: CuKα
Structure: the GGA-PBE geometry in Alexandria

Largest 10 diffraction maxima, low angle first, 2θ from 10° to 90°:
- (0 2 0), d 2.921, 30.6°, I 63
- (1 0 2), d 2.757, 32.5°, I 100
- (2 0 0), d 2.364, 38.1°, I 35
- (1 2 2), d 2.005, 45.2°, I 81
- (2 2 0), d 1.838, 49.6°, I 33
- (0 2 4), d 1.467, 63.4°, I 13
- (3 0 2), d 1.430, 65.3°, I 14
- (1 4 2), d 1.291, 73.4°, I 20
- (3 2 2), d 1.284, 73.8°, I 19
- (2 2 4), d 1.247, 76.4°, I 14

Structure:
```
data_HgSbAu2
_symmetry_space_group_name_H-M 'A m m 2'
_symmetry_Int_Tables_number 38
_cell_length_a 4.7288
_cell_length_b 5.8424
_cell_length_c 6.7854
_cell_angle_alpha 90.00
_cell_angle_beta 90.00
_cell_angle_gamma 90.00
loop_
_symmetry_equiv_pos_as_xyz
'x,y,z'
'-x,-y,z'
'-x,y,z'
'x,-y,z'
'x,y+1/2,z+1/2'
'-x,-y+1/2,z+1/2'
'-x,y+1/2,z+1/2'
'x,-y+1/2,z+1/2'
loop_
_atom_site_label
_atom_site_fract_x
_atom_site_fract_y
_atom_site_fract_z
Hg1 0.0000 0.0000 0.0000
Sb1 0.5000 0.0000 0.3129
Au1 0.0000 0.0000 0.5285
Au2 0.5000 0.0000 0.7619
```